MgAl2SiO7: calculated powder XRD pattern (Cu Kα (weighted mean of Kα1 and Kα2)), based on DFT lattice parameters and positions (PBE).
Peak positions follow from Bragg's law for the DFT cell and can differ from measured ones.

```
MgAl2SiO7
1.0
4.8059 -2.7912 0.0000
4.8059 2.7912 0.0000
-3.3948 0.0000 17.4111
Mg Al Si O
4 8 4 28
direct
0.1630 0.6748 0.9994 Mg
0.3252 0.8370 0.5006 Mg
0.6748 0.1630 0.4994 Mg
0.8370 0.3252 0.0006 Mg
0.0000 0.5000 0.5000 Al
0.0978 0.4017 0.7506 Al
0.4007 0.5993 0.2500 Al
0.4017 0.0978 0.2506 Al
0.5000 0.0000 0.0000 Al
0.5983 0.9022 0.7494 Al
0.5993 0.4007 0.7500 Al
0.9022 0.5983 0.2494 Al
0.0626 0.8689 0.6561 Si
0.1311 0.9374 0.8439 Si
0.8689 0.0626 0.1561 Si
0.9374 0.1311 0.3439 Si
0.0266 0.8392 0.5611 O
0.0405 0.2384 0.1867 O
0.0426 0.7499 0.1869 O
0.1608 0.9734 0.9389 O
0.2215 0.3270 0.0448 O
0.2375 0.5541 0.6867 O
0.2384 0.0405 0.6867 O
0.2501 0.9574 0.3131 O
0.2517 0.4485 0.2986 O
0.2915 0.4701 0.4515 O
0.3270 0.2215 0.5448 O
0.4459 0.7625 0.8133 O
0.4485 0.2517 0.7986 O
0.4701 0.2915 0.9515 O
0.5299 0.7085 0.0485 O
0.5515 0.7483 0.2014 O
0.5541 0.2375 0.1867 O
0.6730 0.7785 0.4552 O
0.7085 0.5299 0.5485 O
0.7483 0.5515 0.7014 O
0.7499 0.0426 0.6869 O
0.7616 0.9595 0.3133 O
0.7625 0.4459 0.3133 O
0.7785 0.6730 0.9552 O
0.8392 0.0266 0.0611 O
0.9574 0.2501 0.8131 O
0.9595 0.7616 0.8133 O
0.9734 0.1608 0.4389 O
```

Top 10 peaks for 2θ from 15° to 90°, in order of rising 2θ:
d [Å], intensity
4.353, 100
3.080, 18
2.515, 29
2.497, 19
2.350, 46
2.332, 16
2.262, 16
2.147, 17
1.893, 16
1.386, 25

***

Ca2RuO4: calculated powder XRD pattern (Cu Kα (weighted mean of Kα1 and Kα2)), based on DFT lattice parameters and positions (PBE).
Peak positions follow from Bragg's law for the DFT cell and can differ from measured ones.

```
Ca2RuO4
1.0
5.4117 0.0000 0.0000
0.0000 5.5943 0.0000
0.0000 0.0000 12.0362
Ca Ru O
8 4 16
direct
0.0075 0.0577 0.1504 Ca
0.0075 0.4423 0.6504 Ca
0.4925 0.5577 0.1504 Ca
0.4925 0.9423 0.6504 Ca
0.5075 0.0577 0.3496 Ca
0.5075 0.4423 0.8496 Ca
0.9925 0.5577 0.3496 Ca
0.9925 0.9423 0.8496 Ca
0.0000 0.0000 0.5000 Ru
0.0000 0.5000 0.0000 Ru
0.5000 0.0000 0.0000 Ru
0.5000 0.5000 0.5000 Ru
0.0695 0.0226 0.6668 O
0.0695 0.4774 0.1668 O
0.1962 0.2005 0.9726 O
0.1962 0.2995 0.4726 O
0.3038 0.7005 0.9726 O
0.3038 0.7995 0.4726 O
0.4305 0.5226 0.6668 O
0.4305 0.9774 0.1668 O
0.5695 0.0226 0.8332 O
0.5695 0.4774 0.3332 O
0.6962 0.2005 0.5274 O
0.6962 0.2995 0.0274 O
0.8038 0.7005 0.5274 O
0.8038 0.7995 0.0274 O
0.9305 0.5226 0.8332 O
0.9305 0.9774 0.3332 O
```

Top 10 peaks for 2θ from 15° to 90°, in order of rising 2θ:
d [Å], intensity
3.701, 35
2.794, 100
2.706, 27
2.047, 19
2.006, 16
1.945, 25
1.630, 9
1.613, 20
1.578, 18
1.396, 12

***

K2RbAlF6: calculated powder XRD pattern (Cu Kα (weighted mean of Kα1 and Kα2)), based on DFT lattice parameters and positions (PBE).
Peak positions follow from Bragg's law for the DFT cell and can differ from measured ones.

```
K2RbAlF6
1.0
0.0000 4.4666 4.4666
4.4666 0.0000 4.4666
4.4666 4.4666 0.0000
K Rb Al F
2 1 1 6
direct
0.2500 0.2500 0.2500 K
0.7500 0.7500 0.7500 K
0.0000 0.0000 0.0000 Rb
0.5000 0.5000 0.5000 Al
0.2945 0.2945 0.7055 F
0.2945 0.7055 0.2945 F
0.2945 0.7055 0.7055 F
0.7055 0.2945 0.2945 F
0.7055 0.2945 0.7055 F
0.7055 0.7055 0.2945 F
```

Top 10 peaks for 2θ from 15° to 90°, in order of rising 2θ:
d [Å], intensity
4.467, 26
3.158, 100
2.693, 21
2.233, 54
2.049, 22
1.823, 29
1.579, 28
1.412, 23
1.289, 7
1.194, 22

***

HfTa3C4: calculated powder XRD pattern (Cu Kα (weighted mean of Kα1 and Kα2)), based on DFT lattice parameters and positions (PBE).
Peak positions follow from Bragg's law for the DFT cell and can differ from measured ones.

```
HfTa3C4
1.0
3.1782 0.0000 0.0000
-1.5891 2.7524 0.0000
0.0000 0.0000 11.1498
Hf Ta C
1 3 4
direct
0.0000 0.0000 0.0000 Hf
0.0000 0.0000 0.2525 Ta
0.0000 0.0000 0.5000 Ta
0.0000 0.0000 0.7475 Ta
0.3333 0.6667 0.3779 C
0.3333 0.6667 0.8676 C
0.6667 0.3333 0.1324 C
0.6667 0.3333 0.6221 C
```

Top 9 peaks for 2θ from 15° to 90°, in order of rising 2θ:
d [Å], intensity
2.787, 32
2.752, 100
1.959, 85
1.589, 23
1.394, 5
1.381, 24
1.376, 12
1.243, 18
1.234, 19